1.
Diffraction record for Na2CrNiGe. The powder diffractogram is theoretical, not measured: it uses a cell relaxed with PBE and Cu Kα, 1.54184 Å.

```
data_Na2CrNiGe
_cell_length_a 5.383
_cell_length_b 5.383
_cell_length_c 4.377
_cell_angle_alpha 90.00
_cell_angle_beta 90.00
_cell_angle_gamma 90.00
_symmetry_space_group_name_H-M 'P 1'
_symmetry_Int_Tables_number 1
_symmetry_space_group_name_Hall 'P 1'
loop_
_atom_site_label
_atom_site_type_symbol
_atom_site_fract_x
_atom_site_fract_y
_atom_site_fract_z
_atom_site_occupancy
Na1 Na 0.000 0.500 0.000 1
Na2 Na 0.500 0.000 0.000 1
Cr1 Cr 0.000 0.000 0.000 1
Ni1 Ni 0.000 0.000 0.500 1
Ge1 Ge 0.500 0.500 0.500 1
```

Top 10 peaks for 2θ = 10–90°, by intensity:
- 33.29°, 2.692 Å, rel. 100
- 23.37°, 3.807 Å, rel. 90
- 31.14°, 2.872 Å, rel. 74
- 54.00°, 1.698 Å, rel. 47
- 47.79°, 1.903 Å, rel. 34
- 41.25°, 2.189 Å, rel. 27
- 26.24°, 3.396 Å, rel. 26
- 64.93°, 1.436 Å, rel. 25
- 47.94°, 1.897 Å, rel. 25
- 58.14°, 1.587 Å, rel. 24

2.
Diffraction record for ScCrNiGe. The powder diffractogram is theoretical, not measured: it uses a cell relaxed with PBE and Cu Kα, 1.54184 Å.

```
data_ScCrNiGe
_cell_length_a 3.010
_cell_length_b 3.536
_cell_length_c 5.762
_cell_angle_alpha 90.00
_cell_angle_beta 90.00
_cell_angle_gamma 90.00
_symmetry_space_group_name_H-M 'P 1'
_symmetry_Int_Tables_number 1
_symmetry_space_group_name_Hall 'P 1'
loop_
_atom_site_label
_atom_site_type_symbol
_atom_site_fract_x
_atom_site_fract_y
_atom_site_fract_z
_atom_site_occupancy
Sc1 Sc 0.000 0.000 0.000 1
Cr1 Cr 0.000 0.000 0.487 1
Ni1 Ni 0.500 0.500 0.259 1
Ge1 Ge 0.500 0.500 0.696 1
```

Top 10 peaks for 2θ = 10–90°, by intensity:
- 39.31°, 2.292 Å, rel. 100
- 40.38°, 2.233 Å, rel. 83
- 43.48°, 2.081 Å, rel. 66
- 69.80°, 1.347 Å, rel. 30
- 76.30°, 1.248 Å, rel. 22
- 51.70°, 1.768 Å, rel. 21
- 78.41°, 1.220 Å, rel. 14
- 61.62°, 1.505 Å, rel. 13
- 15.38°, 5.762 Å, rel. 13
- 84.55°, 1.146 Å, rel. 9

3.
Diffraction record for V2CrNi7Ge2. The powder diffractogram is theoretical, not measured: it uses a cell relaxed with PBE and Cu Kα, 1.54184 Å.

```
data_V2CrNi7Ge2
_cell_length_a 3.566
_cell_length_b 3.566
_cell_length_c 11.515
_cell_angle_alpha 90.00
_cell_angle_beta 90.00
_cell_angle_gamma 90.03
_symmetry_space_group_name_H-M 'P 1'
_symmetry_Int_Tables_number 1
_symmetry_space_group_name_Hall 'P 1'
loop_
_atom_site_label
_atom_site_type_symbol
_atom_site_fract_x
_atom_site_fract_y
_atom_site_fract_z
_atom_site_occupancy
V1 V 0.000 0.000 0.177 1
V2 V 0.000 0.000 0.823 1
Cr1 Cr 0.500 0.500 0.500 1
Ni1 Ni 0.000 0.000 0.500 1
Ni2 Ni 0.000 0.500 0.347 1
Ni3 Ni 0.000 0.500 0.653 1
Ni4 Ni 0.252 0.252 0.000 1
Ni5 Ni 0.500 0.000 0.347 1
Ni6 Ni 0.500 0.000 0.653 1
Ni7 Ni 0.748 0.748 0.000 1
Ge1 Ge 0.500 0.500 0.193 1
Ge2 Ge 0.500 0.500 0.807 1
```

Top 10 peaks for 2θ = 10–90°, by intensity:
- 42.92°, 2.107 Å, rel. 100
- 47.96°, 1.897 Å, rel. 21
- 47.37°, 1.919 Å, rel. 21
- 51.24°, 1.783 Å, rel. 19
- 53.85°, 1.702 Å, rel. 15
- 36.47°, 2.464 Å, rel. 14
- 51.89°, 1.762 Å, rel. 13
- 75.39°, 1.261 Å, rel. 13
- 79.23°, 1.209 Å, rel. 12
- 72.34°, 1.306 Å, rel. 8